No. 1
# Ni13W2
Computed PXRD pattern, Cu Kα, 1.54184 Å. Input: a DFT-relaxed cell (PBE, OQMD).

Principal peaks in the range 2θ = 5–70°, sorted by position:
2theta  d [Å]  Rel. int.  hkl
14.45  6.132  23  1 1 0
22.01  4.039  21  1 0 1
22.93  3.878  18  2 1 0
35.27  2.545  23  2 2 1
38.29  2.351  22  3 1 1
39.49  2.282  27  0 0 2
43.01  2.103  53  4 1 0
44.32  2.044  26  3 3 0
44.88  2.019  22  2 0 2
46.15  1.967  74  2 1 2
47.61  1.910  100  4 1 1
48.82  1.865  48  3 3 1

Cell and atoms:
```
data_Ni13W2
_chemical_formula_sum 'Ni26 W4'
_cell_length_a 8.6717
_cell_length_b 8.6717
_cell_length_c 4.5642
_cell_angle_alpha 90.00
_cell_angle_beta 90.00
_cell_angle_gamma 90.00
_space_group_name_H-M_alt 'P 42/m n m'
_space_group_IT_number 136
_space_group_name_Hall '-P 4n 2n'
loop_
_atom_site_label
_atom_site_type_symbol
_atom_site_fract_x
_atom_site_fract_y
_atom_site_fract_z
Ni1 Ni 0.0000 0.0000 0.0000
Ni2 Ni 0.0359 0.3700 0.5000
Ni3 Ni 0.0673 0.2653 0.0000
Ni4 Ni 0.1797 0.8203 0.2515
W1 W 0.1088 0.1088 0.5000
```


No. 2
# Ni10W3
Computed PXRD pattern, Cu Kα, 1.54184 Å. Input: a DFT-relaxed cell (PBE, OQMD).

Principal peaks in the range 2θ = 5–70°, sorted by position:
2theta  d [Å]  Rel. int.  hkl
23.28  3.820  76  0 1 2
26.23  3.397  31  1 0 4
38.99  2.310  100  1 1 0
41.75  2.164  43  1 0 10
44.56  2.034  65  1 1 6
44.90  2.019  84  0 1 11
45.48  1.994  36  0 2 1
45.91  1.977  41  2 0 2
48.85  1.864  36  2 0 5
50.82  1.797  55  1 1 9
51.53  1.774  21  1 0 13
52.05  1.757  36  0 2 7

Cell and atoms:
```
data_Ni10W3
_chemical_formula_sum 'Ni30 W9'
_cell_length_a 4.6198
_cell_length_b 4.6198
_cell_length_c 25.7221
_cell_angle_alpha 90.00
_cell_angle_beta 90.00
_cell_angle_gamma 120.00
_space_group_name_H-M_alt 'R -3 m'
_space_group_IT_number 166
_space_group_name_Hall '-R 3 2"'
loop_
_atom_site_label
_atom_site_type_symbol
_atom_site_fract_x
_atom_site_fract_y
_atom_site_fract_z
Ni1 Ni 0.0000 0.0000 0.1539
Ni2 Ni 0.0000 0.0000 0.3358
Ni3 Ni 0.0047 0.5024 0.9117
W1 W 0.0000 0.0000 0.0481
W2 W 0.0000 0.0000 0.5000
```